The following is a theoretical PXRD pattern of TbScGa5Cu2. It was derived from a structure optimized by DFT (PBE), using copper Kα.
Peak positions follow from Bragg's law for the DFT cell and can differ from measured ones.

Structure:
```
data_TbScGa5Cu2
_chemical_formula_sum 'Tb1 Sc1 Ga5 Cu2'
_space_group_name_H-M_alt 'P 4/m m m'
_space_group_IT_number 123
_space_group_name_Hall '-P 4 2'
_cell_length_a 4.1251
_cell_length_b 4.1251
_cell_length_c 9.5189
_cell_angle_alpha 90.00
_cell_angle_beta 90.00
_cell_angle_gamma 90.00
loop_
_atom_site_label
_atom_site_type_symbol
_atom_site_fract_x
_atom_site_fract_y
_atom_site_fract_z
Tb1 Tb 0.0000 0.0000 0.0000
Sc1 Sc 0.0000 0.0000 0.5000
Ga1 Ga 0.0000 0.5000 0.2413
Ga2 Ga 0.5000 0.5000 0.0000
Cu1 Cu 0.5000 0.5000 0.3802
```

The 10 most intense peaks (10 to 80 degrees two-theta), sorted by position:
- d = 3.785 Å, I = 18, hkl 1 0 1
- d = 3.117 Å, I = 8, hkl 1 0 2
- d = 2.487 Å, I = 100, hkl 1 1 2
- d = 2.380 Å, I = 12, hkl 0 0 4
- d = 2.147 Å, I = 20, hkl 1 1 3
- d = 2.062 Å, I = 55, hkl 2 0 0
- d = 1.559 Å, I = 13, hkl 2 0 4
- d = 1.458 Å, I = 21, hkl 2 2 0
- d = 1.394 Å, I = 13, hkl 1 1 6
- d = 1.258 Å, I = 22, hkl 3 1 2